Sm4Dy2Er: computed PXRD pattern (Cu Kα), based on a structure optimized by DFT (GGA-PBE).
No peak broadening, texture or thermal motion is included.

```
Sm4Dy2Er
1.0
6.191 0.000 0.000
0.000 6.607 0.000
-2.911 0.000 11.193
Sm Dy Er
8 4 2
Cartesian
-0.817 1.652 4.077
-1.833 1.652 10.630
1.544 3.365 2.398
1.544 6.546 2.398
1.736 0.062 8.795
1.736 3.242 8.795
5.113 4.955 0.563
4.097 4.955 7.117
-0.905 4.955 10.330
0.955 4.955 5.659
2.326 1.652 5.535
4.185 1.652 0.864
-0.998 1.652 7.425
4.278 4.955 3.768
```

Top 10 peaks for 2θ from 5° to 70°, low angle first:
- 26.99 deg, d 3.304, I 31
- 28.22 deg, d 3.162, I 38
- 28.84 deg, d 3.095, I 46
- 30.94 deg, d 2.890, I 46
- 31.27 deg, d 2.861, I 79
- 31.45 deg, d 2.845, I 52
- 31.70 deg, d 2.822, I 74
- 32.86 deg, d 2.726, I 100
- 33.07 deg, d 2.709, I 76
- 65.23 deg, d 1.430, I 25

***

Br: computed PXRD pattern (Cu Kα), based on a structure optimized by DFT (GGA-PBE).
No peak broadening, texture or thermal motion is included.

```
Br
1.0
4.902 0.000 0.000
-0.919 4.919 0.000
-1.513 -2.179 11.419
Br
6
Cartesian
0.000 0.000 0.000
-1.675 1.422 9.366
0.411 0.246 4.062
-0.490 2.953 7.692
1.811 -0.606 6.022
4.034 1.231 2.072
```

Top 10 peaks for 2θ from 5° to 70°, low angle first:
- 18.36 deg, d 4.832, I 43
- 18.66 deg, d 4.754, I 57
- 19.01 deg, d 4.667, I 57
- 21.27 deg, d 4.178, I 100
- 21.38 deg, d 4.155, I 78
- 24.51 deg, d 3.632, I 41
- 29.67 deg, d 3.011, I 40
- 33.00 deg, d 2.715, I 42
- 42.89 deg, d 2.109, I 66
- 44.36 deg, d 2.042, I 42

***

Ca4W: computed PXRD pattern (Cu Kα), based on a structure optimized by DFT (GGA-PBE).
No peak broadening, texture or thermal motion is included.

```
Ca4W
1.0
5.715 0.000 0.000
0.000 5.715 0.000
0.000 0.000 5.715
Ca W
4 1
Cartesian
0.000 0.000 0.000
0.000 2.858 2.858
2.858 0.000 2.858
2.858 2.858 0.000
2.858 2.858 2.858
```

Top 10 peaks for 2θ from 5° to 70°, low angle first:
- 15.50 deg, d 5.715, I 100
- 21.99 deg, d 4.041, I 90
- 31.30 deg, d 2.858, I 71
- 35.11 deg, d 2.556, I 55
- 38.59 deg, d 2.333, I 43
- 44.86 deg, d 2.021, I 51
- 47.74 deg, d 1.905, I 29
- 50.50 deg, d 1.807, I 20
- 55.71 deg, d 1.650, I 17
- 60.62 deg, d 1.527, I 23

***

CaAcPb2: computed PXRD pattern (Cu Kα), based on a structure optimized by DFT (GGA-PBE).
No peak broadening, texture or thermal motion is included.

```
CaAcPb2
1.0
9.465 0.000 0.000
0.000 4.571 0.000
0.000 0.000 12.921
Ca Ac Pb
4 4 8
Cartesian
0.219 1.143 1.346
4.514 3.429 7.806
4.951 1.143 5.115
9.246 3.429 11.575
1.153 3.429 4.566
3.579 1.143 11.026
5.885 3.429 1.895
8.311 1.143 8.355
1.525 3.429 9.046
2.270 1.143 6.987
2.462 3.429 0.527
3.207 1.143 2.585
6.257 3.429 10.336
7.003 1.143 12.394
7.194 3.429 5.934
7.940 1.143 3.875
```

Top 10 peaks for 2θ from 5° to 70°, low angle first:
- 11.59 deg, d 7.635, I 26
- 18.75 deg, d 4.732, I 24
- 22.68 deg, d 3.920, I 26
- 27.12 deg, d 3.288, I 46
- 28.47 deg, d 3.135, I 28
- 30.03 deg, d 2.976, I 100
- 30.51 deg, d 2.930, I 28
- 35.26 deg, d 2.545, I 51
- 39.42 deg, d 2.286, I 30
- 43.08 deg, d 2.100, I 25

***

Na3LiAc3O8: computed PXRD pattern (Cu Kα), based on a structure optimized by DFT (GGA-PBE).
No peak broadening, texture or thermal motion is included.

```
Na3LiAc3O8
1.0
6.984 0.000 0.000
3.166 6.269 0.000
3.197 1.925 5.995
Na Li Ac O
3 1 3 8
Cartesian
0.000 0.000 0.000
3.182 4.097 2.998
5.090 0.962 2.998
1.599 0.962 2.998
1.583 3.134 0.000
3.492 0.000 0.000
6.674 4.097 2.998
3.143 1.775 1.473
6.374 6.062 4.311
4.964 3.059 4.575
5.016 5.214 1.691
8.331 2.979 4.305
8.383 5.134 1.420
6.973 2.131 1.684
10.204 6.419 4.522
```

Top 10 peaks for 2θ from 5° to 70°, low angle first:
- 15.86 deg, d 5.590, I 100
- 17.47 deg, d 5.076, I 36
- 28.44 deg, d 3.138, I 46
- 28.61 deg, d 3.120, I 21
- 29.81 deg, d 2.998, I 21
- 29.94 deg, d 2.984, I 21
- 30.21 deg, d 2.959, I 23
- 35.33 deg, d 2.541, I 56
- 35.45 deg, d 2.532, I 28
- 49.66 deg, d 1.836, I 21

***

BaCoSn2Te: computed PXRD pattern (Cu Kα), based on a structure optimized by DFT (GGA-PBE).
No peak broadening, texture or thermal motion is included.

```
BaCoSn2Te
1.0
4.921 0.000 0.000
0.000 4.921 0.000
0.000 0.000 6.088
Ba Co Sn Te
1 1 2 1
Cartesian
0.000 0.000 0.000
0.000 0.000 3.044
0.000 2.460 3.044
2.460 0.000 3.044
2.460 2.460 0.000
```

Top 10 peaks for 2θ from 5° to 70°, low angle first:
- 18.03 deg, d 4.921, I 4
- 29.34 deg, d 3.044, I 42
- 29.57 deg, d 3.021, I 100
- 36.52 deg, d 2.460, I 47
- 47.52 deg, d 1.913, I 45
- 52.18 deg, d 1.753, I 21
- 52.60 deg, d 1.740, I 17
- 60.87 deg, d 1.522, I 5
- 61.38 deg, d 1.510, I 21
- 61.51 deg, d 1.508, I 26

***

Cs2AgAu2: computed PXRD pattern (Cu Kα), based on a structure optimized by DFT (GGA-PBE).
No peak broadening, texture or thermal motion is included.

```
Cs2AgAu2
1.0
-2.558 2.861 5.697
2.558 -2.861 5.697
2.558 2.861 -5.697
Cs Ag Au
2 1 2
Cartesian
0.000 0.000 2.238
0.000 0.000 9.155
0.000 2.861 0.000
2.558 1.427 0.000
0.000 1.434 5.697
```

Top 10 peaks for 2θ from 5° to 70°, low angle first:
- 15.56 deg, d 5.697, I 52
- 19.02 deg, d 4.666, I 27
- 28.17 deg, d 3.167, I 90
- 29.29 deg, d 3.049, I 65
- 31.41 deg, d 2.848, I 35
- 35.09 deg, d 2.557, I 86
- 36.85 deg, d 2.439, I 100
- 47.80 deg, d 1.903, I 22
- 50.47 deg, d 1.808, I 28
- 54.52 deg, d 1.683, I 53

***

Zn5Ru: computed PXRD pattern (Cu Kα), based on a structure optimized by DFT (GGA-PBE).
No peak broadening, texture or thermal motion is included.

```
Zn5Ru
1.0
-2.105 2.655 3.799
2.105 -2.655 3.799
2.105 2.655 -3.799
Zn Ru
5 1
Cartesian
0.000 0.000 0.000
2.105 1.350 -1.250
2.105 1.350 1.250
0.000 1.305 2.549
0.000 1.305 5.049
0.000 2.655 0.000
```

Top 10 peaks for 2θ from 5° to 70°, low angle first:
- 20.40 deg, d 4.352, I 4
- 33.76 deg, d 2.655, I 5
- 41.49 deg, d 2.176, I 46
- 41.62 deg, d 2.170, I 100
- 41.95 deg, d 2.154, I 95
- 42.97 deg, d 2.105, I 46
- 54.62 deg, d 1.680, I 5
- 55.73 deg, d 1.649, I 2
- 59.87 deg, d 1.545, I 17
- 61.27 deg, d 1.513, I 28